Entry 1:
This entry pairs a crystal structure of TbGa5Co with its computed X-ray powder pattern. Radiation: λ = 1.5418 Å (Cu Kα). Structure: DFT lattice parameters and positions (PBE).

Peak list (10 most intense, 2θ from 5° to 70°, low angle first)
Position (°2θ)  intensity
21.08  224
32.80  531
33.83  135
39.68  195
40.20  1000
42.92  559
55.73  64
59.87  229
62.31  179
62.83  81

Structural model:
Lattice parameters (Å, degrees): 4.2147 4.2147 6.8151 90.00 90.00 90.00
Space group P4/mmm (No. 123)
Unique sites:
Tb 0.0000 0.0000 0.0000 x1
Ga 0.0000 0.5000 0.3109 x4
Ga 0.5000 0.5000 0.0000 x1
Co 0.0000 0.0000 0.5000 x1

***

Entry 2:
This entry pairs a crystal structure of Zn3Ni with its computed X-ray powder pattern. Radiation: λ = 1.5418 Å (Cu Kα). Structure: DFT lattice parameters and positions (PBE).

Peak list (4 most intense, 2θ from 5° to 70°, low angle first)
Position (°2θ)  intensity
39.08  247
42.17  264
44.64  1000
58.84  139

Structural model:
Lattice parameters (Å, degrees): 5.3235 5.3235 4.2856 90.00 90.00 120.00
Space group P6_3/mmc (No. 194)
Unique sites:
Zn 0.1704 0.3408 0.2500 x6
Ni 0.3333 0.6667 0.7500 x2